S6ClO: computed powder diffraction line list (λ = 1.5418 Å (Cu Kα)), based on the GGA-PBE geometry in Alexandria.

Most intense lines, 15° ≤ 2θ ≤ 90°, in order of rising 2θ:
2theta	I/Imax
17.9	166
22.9	698
25.3	1000
25.7	433
36.2	299
41.7	723
42.7	304
50.1	151
55.4	209
61.2	106

Structural model:
```
S6ClO
1.0
7.1659 -1.5151 0.0000
7.1659 1.5151 0.0000
-5.6806 0.0000 8.2633
S Cl O
6 1 1
Cartesian
0.0942 0.0000 1.5223 S
-2.1518 0.0000 7.5372 S
1.7529 0.0000 5.2912 S
6.8983 0.0000 2.9721 S
10.8031 0.0000 0.7261 S
8.5570 0.0000 6.7409 S
-2.8403 0.0000 4.1316 Cl
7.1659 0.0000 0.0000 O
```

---

SCl2O: computed powder diffraction line list (λ = 1.5418 Å (Cu Kα)), based on the GGA-PBE geometry in Alexandria.

Most intense lines, 15° ≤ 2θ ≤ 90°, in order of rising 2θ:
2theta	I/Imax
16.4	363
16.9	667
20.4	1000
22.2	224
23.7	883
29.9	132
31.9	172
33.2	400
34.3	245
39.8	139

Structural model:
```
SCl2O
1.0
4.6420 0.0000 0.0000
1.1051 5.4175 0.0000
1.9591 1.4533 5.3962
S Cl O
1 2 1
Cartesian
0.0000 0.0000 0.0000 S
1.3854 3.5525 0.9417 Cl
3.3503 6.2484 3.4029 Cl
3.2460 0.3651 0.1507 O
```

---

TiS5Cl2O6: computed powder diffraction line list (λ = 1.5418 Å (Cu Kα)), based on the GGA-PBE geometry in Alexandria.

Most intense lines, 15° ≤ 2θ ≤ 90°, in order of rising 2θ:
2theta	I/Imax
15.3	418
15.5	575
17.9	438
19.4	761
23.1	940
23.8	468
24.4	754
25.5	393
28.7	1000
30.9	508

Structural model:
```
TiS5Cl2O6
1.0
8.3794 0.0000 0.0000
-0.4037 8.9881 0.0000
-3.4263 -1.0345 10.4576
Ti S Cl O
2 10 4 12
Cartesian
0.0733 2.3271 1.4298 Ti
4.4761 5.6264 9.0278 Ti
-2.2468 2.9426 7.4887 S
-1.8632 8.1288 7.7190 S
2.1054 8.8073 1.4848 S
1.2909 1.9777 5.0473 S
2.4762 4.8560 1.2463 S
2.0732 3.0976 9.2113 S
3.2585 5.9759 5.4103 S
2.4440 -0.8538 8.9729 S
6.4126 -0.1753 2.7386 S
6.7962 5.0110 2.9689 S
-0.5809 5.4116 4.7319 Cl
0.5977 1.0425 7.8083 Cl
3.9516 6.9111 2.6493 Cl
5.1303 2.5419 5.7257 Cl
7.4326 3.7898 2.3263 O
-2.8832 4.1638 8.1313 O
-2.8928 7.0091 7.9254 O
-3.0787 5.7329 10.4533 O
1.4900 0.8805 1.0901 O
1.5045 3.7187 0.9505 O
1.3926 2.3882 3.5983 O
3.1568 5.5654 6.8594 O
3.0449 4.2349 9.5072 O
3.0594 7.0731 9.3676 O
7.6281 2.2207 0.0044 O
7.4422 0.9444 2.5322 O
```

---

TiS5Cl2O6: computed powder diffraction line list (λ = 1.5418 Å (Cu Kα)), based on the GGA-PBE geometry in Alexandria.

Most intense lines, 15° ≤ 2θ ≤ 90°, in order of rising 2θ:
2theta	I/Imax
17.2	145
18.1	1000
18.3	468
22.8	269
23.8	126
24.5	225
30.5	212
32.5	130
35.6	201
36.4	180

Structural model:
```
TiS5Cl2O6
1.0
5.8062 0.0000 0.0000
-0.2826 9.9244 0.0000
-0.6782 -1.4029 9.8800
Ti S Cl O
2 10 4 12
Cartesian
0.9302 1.8312 3.6402 Ti
3.9152 6.6903 6.2398 Ti
-0.1547 6.4933 3.4406 S
-0.1247 5.9543 8.7842 S
0.9812 8.1839 2.4021 S
2.0924 6.5511 3.5464 S
1.9499 5.8729 8.8589 S
2.8954 2.6486 1.0212 S
2.7530 1.9704 6.3337 S
3.8642 0.3376 7.4779 S
4.9701 2.5672 1.0959 S
5.0001 2.0282 6.4394 S
1.2007 5.7105 1.1695 Cl
1.2680 -0.0568 9.1687 Cl
3.5774 8.5783 0.7114 Cl
3.6447 2.8110 8.7105 Cl
-0.3716 1.2954 5.1707 O
-0.4960 6.9434 7.6191 O
0.8975 3.4552 3.8930 O
0.8716 9.3226 3.3387 O
2.4751 1.8314 2.2241 O
2.4726 1.2991 4.9979 O
2.3728 7.2224 4.8821 O
2.3703 6.6901 7.6559 O
3.9738 -0.8011 6.5414 O
3.9479 5.0663 5.9870 O
5.3414 1.5781 2.2609 O
5.2170 7.2261 4.7094 O
```

---

ZrSCl6O: computed powder diffraction line list (λ = 1.5418 Å (Cu Kα)), based on the GGA-PBE geometry in Alexandria.

Most intense lines, 15° ≤ 2θ ≤ 90°, in order of rising 2θ:
2theta	I/Imax
15.8	673
17.0	833
17.2	404
20.1	419
22.3	343
23.7	1000
28.6	383
30.2	518
31.9	823
50.5	310

Structural model:
```
ZrSCl6O
1.0
7.5054 0.0000 0.0000
0.0000 24.7479 0.0000
-3.2393 0.0000 6.6289
Zr S Cl O
4 4 24 4
Cartesian
1.1117 1.6943 0.1937 Zr
-0.5080 10.6797 3.5081 Zr
4.7740 14.0682 3.1208 Zr
3.1544 23.0537 6.4353 Zr
-0.3960 15.5424 5.7237 S
1.2236 21.5795 2.4092 S
3.0425 3.1684 4.2197 S
4.6621 9.2055 0.9052 S
-0.6534 12.8731 2.0809 Cl
-2.2730 24.2488 5.3954 Cl
0.5401 3.6678 1.3874 Cl
-1.0796 8.7061 4.7018 Cl
1.4119 16.2377 0.4148 Cl
-0.2077 20.8842 3.7292 Cl
-0.5238 2.5539 5.2954 Cl
1.0958 9.8201 1.9809 Cl
0.0977 17.3421 4.8157 Cl
1.7174 19.7798 1.5013 Cl
2.6237 0.7507 1.7510 Cl
1.0041 11.6233 5.0655 Cl
3.2620 13.1246 1.5634 Cl
1.6424 23.9973 4.8779 Cl
2.5487 4.9681 5.1276 Cl
4.1684 7.4059 1.8132 Cl
3.1703 14.9278 4.6480 Cl
4.7899 22.1940 1.3335 Cl
4.4738 3.8637 2.8997 Cl
2.8542 8.5102 6.2141 Cl
5.3457 16.0418 1.9271 Cl
3.7260 21.0801 5.2415 Cl
6.5391 0.4992 1.2335 Cl
4.9195 11.8748 4.5480 Cl
-1.0964 14.7326 4.7146 O
0.5232 22.3893 1.4002 O
3.7429 2.3586 5.2287 O
5.3625 10.0154 1.9143 O
```

---

Sb4Cl3O4: computed powder diffraction line list (λ = 1.5418 Å (Cu Kα)), based on the GGA-PBE geometry in Alexandria.

Most intense lines, 15° ≤ 2θ ≤ 90°, in order of rising 2θ:
2theta	I/Imax
21.8	188
22.6	1000
32.4	167
33.0	935
33.3	467
37.0	267
40.2	185
47.1	407
50.6	415
54.5	161

Structural model:
```
Sb4Cl3O4
1.0
-1.6830 4.8642 6.7292
1.6830 -4.8642 6.7292
1.6830 4.8642 -6.7292
Sb Cl O
4 3 4
Cartesian
0.0000 0.0000 2.5324 Sb
1.6830 2.4721 0.0000 Sb
0.0000 2.3922 6.7292 Sb
0.0000 0.0000 10.9261 Sb
0.0000 0.0000 0.0000 Cl
1.6830 0.0000 4.8703 Cl
0.0000 4.8642 1.8589 Cl
1.6830 1.4556 -1.8282 O
1.6830 1.4556 1.8282 O
0.0000 3.4086 4.9011 O
0.0000 3.4086 8.5574 O
```

---

Sb4ClO6: computed powder diffraction line list (λ = 1.5418 Å (Cu Kα)), based on the GGA-PBE geometry in Alexandria.

Most intense lines, 15° ≤ 2θ ≤ 90°, in order of rising 2θ:
2theta	I/Imax
16.6	143
19.8	275
20.0	221
26.4	1000
27.6	494
30.8	363
33.0	358
43.8	271
54.5	141
56.7	149

Structural model:
```
Sb4ClO6
1.0
9.8355 -2.0687 0.0000
9.8355 2.0687 0.0000
-4.7806 0.0000 10.6810
Sb Cl O
8 2 12
Cartesian
-1.1470 0.0000 2.9313 Sb
2.4234 0.0000 3.4240 Sb
0.5065 0.0000 8.9746 Sb
8.1474 0.0000 0.2957 Sb
6.7430 0.0000 10.3853 Sb
14.3840 0.0000 1.7064 Sb
12.4671 0.0000 7.2571 Sb
16.0374 0.0000 7.7497 Sb
4.3529 0.0000 5.4077 Cl
10.5376 0.0000 5.2734 Cl
-2.9809 0.0000 9.6814 O
0.7708 0.0000 2.3152 O
3.8001 0.0000 1.9563 O
2.1805 0.0000 7.6478 O
6.1343 0.0000 0.1031 O
8.4048 0.0000 2.3266 O
6.4856 0.0000 8.3545 O
8.7561 0.0000 10.5779 O
12.7100 0.0000 3.0333 O
11.0904 0.0000 8.7248 O
14.1197 0.0000 8.3658 O
17.8713 0.0000 0.9997 O
```